# 1
For Tb3Pm3Sc, a cell relaxed with GGA-PBE gives the simulated XRD peak list in this record (λ = 1.5418 Å (Cu Kα)).
Intensities are scaled so that the largest is 100.

Structural model:
abc: 9.5607 9.5607 5.6885
angles: 90.00 90.00 120.00
Fractional coordinates of all 14 atoms:
Tb 0.0502 0.2399 0.2500
Tb 0.1896 0.9498 0.2500
Tb 0.2399 0.1896 0.7500
Tb 0.7601 0.8104 0.2500
Tb 0.8104 0.0502 0.7500
Tb 0.9498 0.7601 0.7500
Pm 0.0967 0.4777 0.7500
Pm 0.3810 0.9033 0.7500
Pm 0.4777 0.3810 0.2500
Pm 0.5223 0.6190 0.7500
Pm 0.6190 0.0967 0.2500
Pm 0.9033 0.5223 0.2500
Sc 0.3333 0.6667 0.2500
Sc 0.6667 0.3333 0.7500

Largest 8 diffraction maxima, low angle first, 15° ≤ 2θ ≤ 90°:
2θ 28.52, I = 24; 2θ 31.45, I = 24; 2θ 32.66, I = 100; 2θ 42.97, I = 16; 2θ 50.51, I = 20; 2θ 56.77, I = 21; 2θ 60.73, I = 23; 2θ 61.46, I = 16

---

# 2
For Er8P3AuSe4, a cell relaxed with GGA-PBE gives the simulated XRD peak list in this record (λ = 1.5418 Å (Cu Kα)).
Intensities are scaled so that the largest is 100.

Structural model:
abc: 8.0904 8.0904 8.0904
angles: 59.59 59.59 59.59
Fractional coordinates of all 16 atoms:
Er 0.2374 0.7497 0.7497
Er 0.2423 0.2423 0.2423
Er 0.2503 0.2503 0.7626
Er 0.2503 0.7626 0.2503
Er 0.7497 0.2374 0.7497
Er 0.7497 0.7497 0.2374
Er 0.7577 0.7577 0.7577
Er 0.7626 0.2503 0.2503
P 0.0000 0.0000 0.5000
P 0.0000 0.5000 0.0000
P 0.5000 0.0000 0.0000
Au 0.5000 0.5000 0.5000
Se 0.0000 0.0000 0.0000
Se 0.0000 0.5000 0.5000
Se 0.5000 0.0000 0.5000
Se 0.5000 0.5000 0.0000

Largest 8 diffraction maxima, low angle first, 15° ≤ 2θ ≤ 90°:
2θ 27.14, I = 19; 2θ 31.37, I = 100; 2θ 44.81, I = 36; 2θ 45.10, I = 37; 2θ 55.97, I = 19; 2θ 74.18, I = 15; 2θ 74.61, I = 16; 2θ 83.05, I = 12